Entry 1:
Calculated powder XRD pattern
Compound: Sb10Au7I
Radiation: Cu Kα
Structure: a DFT-relaxed cell (GGA-PBE, OQMD)

Cell and atoms:
```
data_Sb10Au7I
_space_group_name_H-M_alt 'P -6 2 m'
_space_group_IT_number 189
_space_group_name_Hall 'P -6 -2'
_cell_length_a 6.8572
_cell_length_b 6.8572
_cell_length_c 12.5356
_cell_angle_alpha 90.00
_cell_angle_beta 90.00
_cell_angle_gamma 120.00
loop_
_atom_site_label
_atom_site_fract_x
_atom_site_fract_y
_atom_site_fract_z
_atom_site_occupancy
Sb1 0.0000 0.3185 0.1485 1
Sb2 0.3333 0.6667 0.2905 1
Au1 0.0000 0.0000 0.2836 1
Au2 0.0000 0.6404 0.0000 1
Au3 0.3333 0.6667 0.5000 1
I1 0.0000 0.0000 0.5000 1
```

Peak list (8 most intense, 10° ≤ 2θ ≤ 90°, sorted by position)
- hkl 1 1 0, 25.99°, d 3.429, intensity 21
- hkl 1 1 1, 26.96°, d 3.307, intensity 100
- hkl 1 1 2, 29.70°, d 3.008, intensity 34
- hkl 1 1 3, 33.82°, d 2.651, intensity 44
- hkl 1 1 4, 38.94°, d 2.313, intensity 53
- hkl 1 1 5, 44.78°, d 2.024, intensity 48
- hkl 3 0 0, 45.84°, d 1.979, intensity 56
- hkl 1 1 9, 73.42°, d 1.290, intensity 21

Entry 2:
Calculated powder XRD pattern
Compound: AuSe6I
Radiation: Cu Kα
Structure: a DFT-relaxed cell (GGA-PBE, OQMD)

Cell and atoms:
```
data_AuSe6I
_space_group_name_H-M_alt 'F -4 3 m'
_space_group_IT_number 216
_space_group_name_Hall 'F -4 2 3'
_cell_length_a 9.471
_cell_length_b 9.471
_cell_length_c 9.471
_cell_angle_alpha 90.00
_cell_angle_beta 90.00
_cell_angle_gamma 90.00
loop_
_atom_site_label
_atom_site_fract_x
_atom_site_fract_y
_atom_site_fract_z
_atom_site_occupancy
Au1 0.000 0.000 0.000 1
Se1 0.000 0.000 0.289 1
I1 0.250 0.250 0.250 1
```

Peak list (8 most intense, 10° ≤ 2θ ≤ 90°, sorted by position)
- hkl 1 1 1, 16.21°, d 5.468, intensity 45
- hkl 2 0 0, 18.74°, d 4.736, intensity 69
- hkl 3 1 1, 31.32°, d 2.856, intensity 85
- hkl 2 2 2, 32.76°, d 2.734, intensity 46
- hkl 4 0 0, 38.00°, d 2.368, intensity 100
- hkl 3 3 1, 41.56°, d 2.173, intensity 90
- hkl 4 4 0, 54.83°, d 1.674, intensity 56
- hkl 7 3 1, 77.40°, d 1.233, intensity 38

Entry 3:
Calculated powder XRD pattern
Compound: SnAu3I
Radiation: Cu Kα
Structure: a DFT-relaxed cell (GGA-PBE, OQMD)

Cell and atoms:
```
data_SnAu3I
_space_group_name_H-M_alt 'I m m a'
_space_group_IT_number 74
_space_group_name_Hall '-I 2b 2'
_cell_length_a 5.799
_cell_length_b 11.030
_cell_length_c 8.135
_cell_angle_alpha 90.00
_cell_angle_beta 90.00
_cell_angle_gamma 90.00
loop_
_atom_site_label
_atom_site_fract_x
_atom_site_fract_y
_atom_site_fract_z
_atom_site_occupancy
Sn1 0.000 0.250 0.016 1
Au1 0.000 0.250 0.693 1
Au2 0.250 0.118 0.250 1
I1 0.000 0.000 0.500 1
```

Peak list (8 most intense, 10° ≤ 2θ ≤ 90°, sorted by position)
- hkl 1 2 1, 24.82°, d 3.587, intensity 32
- hkl 0 3 1, 26.61°, d 3.350, intensity 100
- hkl 2 1 1, 33.81°, d 2.651, intensity 89
- hkl 2 0 2, 38.11°, d 2.361, intensity 40
- hkl 0 4 2, 39.48°, d 2.282, intensity 35
- hkl 1 2 3, 40.19°, d 2.244, intensity 49
- hkl 2 4 0, 45.39°, d 1.998, intensity 71
- hkl 2 4 4, 65.49°, d 1.425, intensity 32

Entry 4:
Calculated powder XRD pattern
Compound: Sn3Au4I
Radiation: Cu Kα
Structure: a DFT-relaxed cell (GGA-PBE, OQMD)

Cell and atoms:
```
data_Sn3Au4I
_space_group_name_H-M_alt 'C 1 2/m 1'
_space_group_IT_number 12
_cell_length_a 14.652
_cell_length_b 8.512
_cell_length_c 3.085
_cell_angle_alpha 90.00
_cell_angle_beta 101.84
_cell_angle_gamma 90.00
loop_
_space_group_symop_operation_xyz
'x,y,z'
'-x,-y,-z'
'-x,y,-z'
'x,-y,z'
'x+1/2,y+1/2,z'
'-x+1/2,-y+1/2,-z'
'-x+1/2,y+1/2,-z'
'x+1/2,-y+1/2,z'
loop_
_atom_site_label
_atom_site_fract_x
_atom_site_fract_y
_atom_site_fract_z
_atom_site_occupancy
Sn1 0.000 0.000 0.000 1
Sn2 0.234 0.500 0.234 1
Au1 0.128 0.227 0.625 1
I1 0.000 0.500 0.500 1
```

Peak list (8 most intense, 10° ≤ 2θ ≤ 90°, sorted by position)
- hkl 0 0 1, 29.62°, d 3.016, intensity 24
- hkl 4 2 0, 32.66°, d 2.742, intensity 100
- hkl 1 1 1, 33.27°, d 2.693, intensity 15
- hkl 3 1 -1, 33.39°, d 2.684, intensity 15
- hkl 0 2 1, 36.52°, d 2.461, intensity 30
- hkl 4 2 -1, 40.84°, d 2.210, intensity 15
- hkl 0 4 0, 42.48°, d 2.128, intensity 22
- hkl 2 2 2, 69.86°, d 1.346, intensity 15

Entry 5:
Calculated powder XRD pattern
Compound: Te6AuI2
Radiation: Cu Kα
Structure: a DFT-relaxed cell (GGA-PBE, OQMD)

Cell and atoms:
```
data_Te6AuI2
_space_group_name_H-M_alt 'P -1'
_space_group_IT_number 2
_cell_length_a 4.907
_cell_length_b 8.715
_cell_length_c 8.817
_cell_angle_alpha 62.40
_cell_angle_beta 88.69
_cell_angle_gamma 88.61
loop_
_space_group_symop_operation_xyz
'x,y,z'
'-x,-y,-z'
loop_
_atom_site_label
_atom_site_fract_x
_atom_site_fract_y
_atom_site_fract_z
_atom_site_occupancy
Te1 0.121 0.015 0.280 1
Te2 0.150 0.709 0.980 1
Te3 0.176 0.232 0.774 1
Au1 0.000 0.500 0.500 1
I1 0.483 0.334 0.309 1
```

Peak list (8 most intense, 10° ≤ 2θ ≤ 90°, sorted by position)
- hkl 1 0 0, 18.09°, d 4.905, intensity 31
- hkl 1 1 1, 21.38°, d 4.157, intensity 22
- hkl 1 2 1, 27.05°, d 3.296, intensity 100
- hkl -1 1 2, 27.54°, d 3.238, intensity 97
- hkl 0 2 -1, 30.20°, d 2.960, intensity 27
- hkl 1 -1 2, 35.22°, d 2.548, intensity 23
- hkl 0 3 3, 35.95°, d 2.498, intensity 48
- hkl 2 1 -1, 41.84°, d 2.159, intensity 33

Entry 6:
Calculated powder XRD pattern
Compound: Y4Au2I
Radiation: Cu Kα
Structure: a DFT-relaxed cell (GGA-PBE, OQMD)

Cell and atoms:
```
data_Y4Au2I
_space_group_name_H-M_alt 'P 4/m m m'
_space_group_IT_number 123
_space_group_name_Hall '-P 4 2'
_cell_length_a 5.032
_cell_length_b 5.032
_cell_length_c 7.491
_cell_angle_alpha 90.00
_cell_angle_beta 90.00
_cell_angle_gamma 90.00
loop_
_atom_site_label
_atom_site_fract_x
_atom_site_fract_y
_atom_site_fract_z
_atom_site_occupancy
Y1 0.000 0.500 0.233 1
Au1 0.000 0.000 0.000 1
Au2 0.500 0.500 0.500 1
I1 0.000 0.000 0.500 1
```

Peak list (8 most intense, 10° ≤ 2θ ≤ 90°, sorted by position)
- hkl 1 0 1, 21.27°, d 4.177, intensity 31
- hkl 1 1 2, 34.77°, d 2.580, intensity 100
- hkl 2 0 0, 35.68°, d 2.516, intensity 47
- hkl 2 1 1, 41.92°, d 2.155, intensity 12
- hkl 2 2 0, 51.35°, d 1.779, intensity 17
- hkl 2 0 4, 61.75°, d 1.502, intensity 18
- hkl 3 1 2, 63.52°, d 1.465, intensity 34
- hkl 2 2 4, 73.41°, d 1.290, intensity 11

Entry 7:
Calculated powder XRD pattern
Compound: In2Au9
Radiation: Cu Kα
Structure: a DFT-relaxed cell (GGA-PBE, OQMD)

Cell and atoms:
```
data_In2Au9
_space_group_name_H-M_alt 'P -3 m 1'
_space_group_IT_number 164
_space_group_name_Hall '-P 3 2"'
_cell_length_a 2.9524
_cell_length_b 2.9524
_cell_length_c 31.8530
_cell_angle_alpha 90.00
_cell_angle_beta 90.00
_cell_angle_gamma 120.00
loop_
_atom_site_label
_atom_site_fract_x
_atom_site_fract_y
_atom_site_fract_z
_atom_site_occupancy
In1 0.3333 0.6667 0.3850 1
Au1 0.0000 0.0000 0.0000 1
Au2 0.0000 0.0000 0.2259 1
Au3 0.3333 0.6667 0.1506 1
Au4 0.3333 0.6667 0.6967 1
Au5 0.3333 0.6667 0.9245 1
```

Peak list (8 most intense, 10° ≤ 2θ ≤ 90°, sorted by position)
- hkl 0 0 13, 36.68°, d 2.450, intensity 43
- hkl 1 0 4, 36.92°, d 2.434, intensity 100
- hkl 1 0 5, 37.92°, d 2.373, intensity 56
- hkl 0 1 8, 42.00°, d 2.151, intensity 23
- hkl 0 1 9, 43.67°, d 2.073, intensity 75
- hkl 1 1 0, 62.97°, d 1.476, intensity 33
- hkl 1 0 18, 63.99°, d 1.455, intensity 17
- hkl 1 1 13, 75.13°, d 1.264, intensity 33

Entry 8:
Calculated powder XRD pattern
Compound: InAu9
Radiation: Cu Kα
Structure: a DFT-relaxed cell (GGA-PBE, OQMD)

Cell and atoms:
```
data_InAu9
_space_group_name_H-M_alt 'P m m n'
_space_group_IT_number 59
_cell_length_a 2.936
_cell_length_b 3.970
_cell_length_c 40.693
_cell_angle_alpha 90.00
_cell_angle_beta 90.00
_cell_angle_gamma 90.00
loop_
_space_group_symop_operation_xyz
'x,y,z'
'-x,-y,-z'
'-x+1/2,-y+1/2,z'
'x+1/2,y+1/2,-z'
'x+1/2,-y,-z'
'-x+1/2,y,z'
'-x,y+1/2,-z'
'x,-y+1/2,z'
loop_
_atom_site_label
_atom_site_fract_x
_atom_site_fract_y
_atom_site_fract_z
_atom_site_occupancy
In1 0.250 0.250 0.135 1
Au1 0.250 0.250 0.216 1
Au2 0.250 0.250 0.292 1
Au3 0.250 0.250 0.368 1
Au4 0.250 0.250 0.443 1
Au5 0.250 0.250 0.519 1
Au6 0.250 0.250 0.594 1
Au7 0.250 0.250 0.670 1
Au8 0.250 0.250 0.745 1
Au9 0.250 0.250 0.823 1
```

Peak list (8 most intense, 10° ≤ 2θ ≤ 90°, sorted by position)
- hkl 0 1 13, 36.56°, d 2.458, intensity 86
- hkl 1 1 0, 38.13°, d 2.360, intensity 100
- hkl 0 1 14, 38.38°, d 2.345, intensity 29
- hkl 1 0 13, 42.20°, d 2.141, intensity 58
- hkl 0 2 0, 45.71°, d 1.985, intensity 30
- hkl 1 2 13, 63.95°, d 1.456, intensity 34
- hkl 1 1 26, 72.46°, d 1.304, intensity 20
- hkl 2 1 13, 75.42°, d 1.260, intensity 22

Entry 9:
Calculated powder XRD pattern
Compound: InAu15
Radiation: Cu Kα
Structure: a DFT-relaxed cell (GGA-PBE, OQMD)

Cell and atoms:
```
data_InAu15
_space_group_name_H-M_alt 'P m m a'
_space_group_IT_number 51
_cell_length_a 4.108
_cell_length_b 4.108
_cell_length_c 45.637
_cell_angle_alpha 90.00
_cell_angle_beta 90.00
_cell_angle_gamma 90.00
loop_
_space_group_symop_operation_xyz
'x,y,z'
'-x,-y,-z'
'-x+1/2,-y,z'
'x+1/2,y,-z'
'x+1/2,-y,-z'
'-x+1/2,y,z'
'-x,y,-z'
'x,-y,z'
loop_
_atom_site_label
_atom_site_fract_x
_atom_site_fract_y
_atom_site_fract_z
_atom_site_occupancy
In1 0.250 0.000 0.145 1
Au1 0.250 0.000 0.245 1
Au2 0.250 0.000 0.338 1
Au3 0.250 0.000 0.431 1
Au4 0.250 0.000 0.523 1
Au5 0.250 0.000 0.616 1
Au6 0.250 0.000 0.709 1
Au7 0.250 0.000 0.802 1
Au8 0.250 0.500 0.198 1
Au9 0.250 0.500 0.291 1
Au10 0.250 0.500 0.384 1
Au11 0.250 0.500 0.477 1
Au12 0.250 0.500 0.569 1
Au13 0.250 0.500 0.662 1
Au14 0.250 0.500 0.755 1
Au15 0.250 0.500 0.850 1
```

Peak list (8 most intense, 10° ≤ 2θ ≤ 90°, sorted by position)
- hkl 1 1 10, 36.67°, d 2.451, intensity 42
- hkl 1 1 11, 37.81°, d 2.380, intensity 100
- hkl 2 0 0, 44.10°, d 2.054, intensity 45
- hkl 2 0 21, 62.19°, d 1.493, intensity 17
- hkl 2 0 22, 63.76°, d 1.460, intensity 16
- hkl 2 2 0, 64.12°, d 1.452, intensity 15
- hkl 1 1 33, 76.22°, d 1.249, intensity 16
- hkl 3 1 11, 76.90°, d 1.240, intensity 26

Entry 10:
Calculated powder XRD pattern
Compound: In3Au10
Radiation: Cu Kα
Structure: a DFT-relaxed cell (GGA-PBE, OQMD)

Cell and atoms:
```
data_In3Au10
_space_group_name_H-M_alt 'P 63/m'
_space_group_IT_number 176
_space_group_name_Hall '-P 6c'
_cell_length_a 10.6918
_cell_length_b 10.6918
_cell_length_c 4.8746
_cell_angle_alpha 90.00
_cell_angle_beta 90.00
_cell_angle_gamma 120.00
loop_
_atom_site_label
_atom_site_fract_x
_atom_site_fract_y
_atom_site_fract_z
_atom_site_occupancy
In1 0.1043 0.3630 0.2500 1
Au1 0.0236 0.5894 0.2500 1
Au2 0.0508 0.1780 0.7500 1
Au3 0.2068 0.7208 0.7500 1
Au4 0.3333 0.6667 0.2500 1
```

Peak list (8 most intense, 10° ≤ 2θ ≤ 90°, sorted by position)
- hkl 3 1 0, 34.94°, d 2.568, intensity 24
- hkl 0 0 2, 36.88°, d 2.437, intensity 27
- hkl 3 1 1, 39.67°, d 2.272, intensity 100
- hkl 3 1 2, 51.71°, d 1.768, intensity 16
- hkl 2 5 0, 62.66°, d 1.483, intensity 17
- hkl 3 1 3, 68.31°, d 1.373, intensity 21
- hkl 2 5 2, 74.98°, d 1.267, intensity 21
- hkl 6 2 1, 76.76°, d 1.242, intensity 15

Entry 11:
Calculated powder XRD pattern
Compound: In2Au
Radiation: Cu Kα
Structure: a DFT-relaxed cell (GGA-PBE, OQMD)

Cell and atoms:
```
data_In2Au
_space_group_name_H-M_alt 'I 4/m m m'
_space_group_IT_number 139
_space_group_name_Hall '-I 4 2'
_cell_length_a 4.670
_cell_length_b 4.670
_cell_length_c 6.627
_cell_angle_alpha 90.00
_cell_angle_beta 90.00
_cell_angle_gamma 90.00
loop_
_atom_site_label
_atom_site_fract_x
_atom_site_fract_y
_atom_site_fract_z
_atom_site_occupancy
In1 0.000 0.500 0.250 1
Au1 0.000 0.000 0.000 1
```

Peak list (8 most intense, 10° ≤ 2θ ≤ 90°, sorted by position)
- hkl 1 0 1, 23.30°, d 3.818, intensity 50
- hkl 2 0 0, 38.51°, d 2.338, intensity 100
- hkl 1 0 3, 45.42°, d 1.997, intensity 9
- hkl 2 1 1, 45.54°, d 1.992, intensity 18
- hkl 2 2 0, 55.66°, d 1.651, intensity 11
- hkl 3 0 1, 61.09°, d 1.517, intensity 11
- hkl 2 0 4, 69.58°, d 1.351, intensity 12
- hkl 3 1 2, 69.71°, d 1.349, intensity 23

Entry 12:
Calculated powder XRD pattern
Compound: InAu15
Radiation: Cu Kα
Structure: a DFT-relaxed cell (GGA-PBE, OQMD)

Cell and atoms:
```
data_InAu15
_space_group_name_H-M_alt 'P 1 2/c 1'
_space_group_IT_number 13
_cell_length_a 5.017
_cell_length_b 36.160
_cell_length_c 5.016
_cell_angle_alpha 90.00
_cell_angle_beta 109.35
_cell_angle_gamma 90.00
loop_
_space_group_symop_operation_xyz
'x,y,z'
'-x,-y,-z'
'-x,y,-z+1/2'
'x,-y,z+1/2'
loop_
_atom_site_label
_atom_site_fract_x
_atom_site_fract_y
_atom_site_fract_z
_atom_site_occupancy
In1 0.000 0.181 0.250 1
Au1 0.000 0.226 0.750 1
Au2 0.000 0.271 0.250 1
Au3 0.000 0.312 0.750 1
Au4 0.000 0.354 0.250 1
Au5 0.000 0.396 0.750 1
Au6 0.000 0.437 0.250 1
Au7 0.000 0.479 0.750 1
Au8 0.500 0.188 0.750 1
Au9 0.500 0.226 0.250 1
Au10 0.500 0.271 0.750 1
Au11 0.500 0.312 0.250 1
Au12 0.500 0.354 0.750 1
Au13 0.500 0.396 0.250 1
Au14 0.500 0.437 0.750 1
Au15 0.500 0.479 0.250 1
```

Peak list (8 most intense, 10° ≤ 2θ ≤ 90°, sorted by position)
- hkl 1 11 -1, 35.01°, d 2.563, intensity 22
- hkl 1 12 -1, 37.05°, d 2.427, intensity 77
- hkl 2 0 0, 38.05°, d 2.365, intensity 100
- hkl 1 12 1, 43.30°, d 2.090, intensity 50
- hkl 2 0 -2, 44.28°, d 2.046, intensity 33
- hkl 3 12 -1, 63.64°, d 1.462, intensity 32
- hkl 2 24 0, 74.69°, d 1.271, intensity 20
- hkl 3 12 1, 76.53°, d 1.245, intensity 19